# 1
Computed X-ray diffraction stick pattern
Compound: Mg16Al12Ga
Radiation: λ = 1.5418 Å (Cu Kα)
Structure: a crystal structure in the Materials Project, relaxed with PBE
Neutral-atom scattering factors, no anomalous dispersion.

The 12 most intense peaks (15 to 90 degrees two-theta), by intensity:
36.2 deg, rel. 100.0; 65.1 deg, rel. 25.9; 40.2 deg, rel. 25.4; 42.0 deg, rel. 13.2; 43.8 deg, rel. 11.2; 62.4 deg, rel. 10.9; 31.8 deg, rel. 8.0; 76.8 deg, rel. 7.5; 70.4 deg, rel. 6.0; 78.1 deg, rel. 5.9; 88.0 deg, rel. 5.6; 47.3 deg, rel. 5.4

Crystal structure
a b c (Å): 9.118 9.118 9.118
angles (deg): 109.47 109.47 109.47
Fractional positions:
Mg 0.000 0.000 0.335
Mg 0.000 0.314 0.599
Mg 0.000 0.335 0.000
Mg 0.000 0.599 0.314
Mg 0.285 0.686 0.686
Mg 0.314 0.000 0.599
Mg 0.314 0.599 0.000
Mg 0.335 0.000 0.000
Mg 0.401 0.401 0.715
Mg 0.401 0.715 0.401
Mg 0.599 0.000 0.314
Mg 0.599 0.314 0.000
Mg 0.665 0.665 0.665
Mg 0.686 0.285 0.686
Mg 0.686 0.686 0.285
Mg 0.715 0.401 0.401
Al 0.000 0.631 0.814
Al 0.000 0.814 0.631
Al 0.183 0.369 0.369
Al 0.186 0.186 0.817
Al 0.186 0.817 0.186
Al 0.369 0.183 0.369
Al 0.369 0.369 0.183
Al 0.631 0.000 0.814
Al 0.631 0.814 0.000
Al 0.814 0.000 0.631
Al 0.814 0.631 0.000
Al 0.817 0.186 0.186
Ga 0.000 0.000 0.000

# 2
Computed X-ray diffraction stick pattern
Compound: LiNi2P2
Radiation: λ = 1.5418 Å (Cu Kα)
Structure: a crystal structure in the Materials Project, relaxed with PBE
Neutral-atom scattering factors, no anomalous dispersion.

The 12 most intense peaks (15 to 90 degrees two-theta), by intensity:
19.4 deg, rel. 100.0; 39.1 deg, rel. 89.3; 52.7 deg, rel. 61.0; 48.3 deg, rel. 45.5; 52.5 deg, rel. 26.3; 25.6 deg, rel. 24.8; 83.9 deg, rel. 16.8; 33.6 deg, rel. 14.2; 70.7 deg, rel. 13.6; 71.3 deg, rel. 9.8; 81.1 deg, rel. 9.2; 38.0 deg, rel. 8.8

Crystal structure
a b c (Å): 5.293 5.293 5.293
angles (deg): 138.27 138.27 60.49
Fractional positions:
Li 0.000 0.000 0.000
Ni 0.250 0.750 0.500
Ni 0.750 0.250 0.500
P 0.382 0.382 0.000
P 0.618 0.618 0.000

# 3
Computed X-ray diffraction stick pattern
Compound: Pb2OF2
Radiation: λ = 1.5418 Å (Cu Kα)
Structure: a crystal structure in the Materials Project, relaxed with PBE
Neutral-atom scattering factors, no anomalous dispersion.

The 12 most intense peaks (15 to 90 degrees two-theta), by intensity:
26.0 deg, rel. 100.0; 26.2 deg, rel. 97.9; 42.9 deg, rel. 56.3; 30.8 deg, rel. 51.4; 51.7 deg, rel. 31.8; 52.1 deg, rel. 30.3; 29.1 deg, rel. 25.9; 44.4 deg, rel. 16.5; 43.8 deg, rel. 16.5; 49.8 deg, rel. 13.9; 49.9 deg, rel. 13.3; 53.4 deg, rel. 10.9

Crystal structure
a b c (Å): 8.167 8.274 6.130
angles (deg): 90.00 90.00 90.00
Fractional positions:
Pb 0.000 0.249 0.000
Pb 0.000 0.751 0.000
Pb 0.241 0.500 0.533
Pb 0.260 0.000 0.465
Pb 0.500 0.250 0.944
Pb 0.500 0.750 0.944
Pb 0.740 0.000 0.465
Pb 0.759 0.500 0.533
O 0.000 0.000 0.418
O 0.000 0.500 0.879
O 0.500 0.000 0.823
O 0.500 0.500 0.663
F 0.229 0.229 0.727
F 0.229 0.771 0.727
F 0.256 0.285 0.235
F 0.256 0.715 0.235
F 0.744 0.285 0.235
F 0.744 0.715 0.235
F 0.771 0.229 0.727
F 0.771 0.771 0.727

# 4
Computed X-ray diffraction stick pattern
Compound: Dy4CrSe7
Radiation: λ = 1.5418 Å (Cu Kα)
Structure: a crystal structure in the Materials Project, relaxed with PBE
Neutral-atom scattering factors, no anomalous dispersion.

The 12 most intense peaks (15 to 90 degrees two-theta), by intensity:
23.6 deg, rel. 100.0; 31.0 deg, rel. 77.0; 32.0 deg, rel. 68.9; 45.6 deg, rel. 66.1; 33.4 deg, rel. 64.4; 30.4 deg, rel. 54.4; 30.5 deg, rel. 53.3; 40.9 deg, rel. 45.6; 35.3 deg, rel. 35.9; 46.2 deg, rel. 33.4; 37.7 deg, rel. 26.5; 46.1 deg, rel. 24.2

Crystal structure
a b c (Å): 6.826 6.826 11.953
angles (deg): 104.93 104.93 33.91
Fractional positions:
Dy 0.000 0.000 0.000
Dy 0.387 0.387 0.593
Dy 0.581 0.581 0.355
Dy 0.695 0.695 0.800
Cr 0.809 0.809 0.217
Se 0.034 0.034 0.741
Se 0.202 0.202 0.287
Se 0.358 0.358 0.843
Se 0.421 0.421 0.144
Se 0.663 0.663 0.023
Se 0.728 0.728 0.577
Se 0.946 0.946 0.426

# 5
Computed X-ray diffraction stick pattern
Compound: Zr2CuH5
Radiation: λ = 1.5418 Å (Cu Kα)
Structure: a crystal structure in the Materials Project, relaxed with PBE
Neutral-atom scattering factors, no anomalous dispersion.

The 12 most intense peaks (15 to 90 degrees two-theta), by intensity:
33.0 deg, rel. 100.0; 35.0 deg, rel. 66.4; 38.6 deg, rel. 34.1; 37.3 deg, rel. 32.4; 28.8 deg, rel. 27.1; 50.0 deg, rel. 27.0; 31.7 deg, rel. 26.0; 39.0 deg, rel. 24.6; 33.2 deg, rel. 20.3; 65.3 deg, rel. 20.1; 54.4 deg, rel. 18.4; 40.9 deg, rel. 18.3

Crystal structure
a b c (Å): 5.737 5.737 8.287
angles (deg): 121.32 121.32 37.10
Fractional positions:
Zr 0.081 0.081 0.344
Zr 0.326 0.326 0.926
Zr 0.674 0.674 0.074
Zr 0.919 0.919 0.656
Cu 0.377 0.377 0.349
Cu 0.623 0.623 0.651
H 0.118 0.118 0.640
H 0.135 0.135 0.924
H 0.184 0.184 0.203
H 0.316 0.316 0.519
H 0.466 0.466 0.828
H 0.534 0.534 0.172
H 0.684 0.684 0.481
H 0.816 0.816 0.797
H 0.865 0.865 0.076
H 0.882 0.882 0.360

# 6
Computed X-ray diffraction stick pattern
Compound: K2CuP4O12
Radiation: λ = 1.5418 Å (Cu Kα)
Structure: a crystal structure in the Materials Project, relaxed with PBE
Neutral-atom scattering factors, no anomalous dispersion.

The 12 most intense peaks (15 to 90 degrees two-theta), by intensity:
29.4 deg, rel. 100.0; 23.2 deg, rel. 84.1; 33.0 deg, rel. 64.7; 31.0 deg, rel. 61.2; 23.2 deg, rel. 49.4; 28.9 deg, rel. 44.0; 26.1 deg, rel. 42.6; 16.2 deg, rel. 29.1; 25.5 deg, rel. 26.4; 47.5 deg, rel. 26.4; 26.4 deg, rel. 23.5; 33.6 deg, rel. 15.8

Crystal structure
a b c (Å): 8.259 8.259 8.278
angles (deg): 95.93 95.93 97.05
Fractional positions:
K 0.129 0.871 0.500
K 0.557 0.832 0.290
K 0.832 0.557 0.790
K 0.871 0.129 0.000
Cu 0.206 0.518 0.147
Cu 0.518 0.206 0.647
P 0.172 0.315 0.722
P 0.184 0.864 0.981
P 0.315 0.172 0.222
P 0.405 0.556 0.593
P 0.493 0.868 0.817
P 0.556 0.405 0.093
P 0.864 0.184 0.481
P 0.868 0.493 0.317
O 0.012 0.847 0.901
O 0.054 0.235 0.558
O 0.074 0.345 0.861
O 0.208 0.307 0.238
O 0.233 0.756 0.110
O 0.235 0.054 0.058
O 0.242 0.493 0.673
O 0.298 0.851 0.832
O 0.307 0.208 0.738
O 0.345 0.074 0.361
O 0.356 0.648 0.454
O 0.419 0.509 0.066
O 0.493 0.242 0.173
O 0.509 0.419 0.566
O 0.511 0.682 0.743
O 0.524 0.974 0.681
O 0.595 0.906 0.978
O 0.648 0.356 0.954
O 0.682 0.511 0.243
O 0.756 0.233 0.610
O 0.847 0.012 0.401
O 0.851 0.298 0.332
O 0.906 0.595 0.478
O 0.974 0.524 0.181

# 7
Computed X-ray diffraction stick pattern
Compound: CdCu6O8
Radiation: λ = 1.5418 Å (Cu Kα)
Structure: a crystal structure in the Materials Project, relaxed with PBE
Neutral-atom scattering factors, no anomalous dispersion.

The 12 most intense peaks (15 to 90 degrees two-theta), by intensity:
33.5 deg, rel. 100.0; 16.6 deg, rel. 44.8; 56.2 deg, rel. 43.2; 67.0 deg, rel. 36.5; 38.9 deg, rel. 30.8; 42.5 deg, rel. 17.6; 70.4 deg, rel. 7.7; 59.0 deg, rel. 6.1; 83.5 deg, rel. 5.6; 32.1 deg, rel. 5.5; 19.2 deg, rel. 4.0; 72.9 deg, rel. 3.8

Crystal structure
a b c (Å): 6.549 6.549 6.549
angles (deg): 60.00 60.00 60.00
Fractional positions:
Cd 0.000 0.000 0.000
Cu 0.000 0.000 0.500
Cu 0.000 0.500 0.000
Cu 0.000 0.500 0.500
Cu 0.500 0.000 0.000
Cu 0.500 0.000 0.500
Cu 0.500 0.500 0.000
O 0.145 0.145 0.145
O 0.145 0.145 0.564
O 0.145 0.564 0.145
O 0.436 0.855 0.855
O 0.564 0.145 0.145
O 0.855 0.436 0.855
O 0.855 0.855 0.436
O 0.855 0.855 0.855

# 8
Computed X-ray diffraction stick pattern
Compound: Sr2Be2B2O7
Radiation: λ = 1.5418 Å (Cu Kα)
Structure: a crystal structure in the Materials Project, relaxed with PBE
Neutral-atom scattering factors, no anomalous dispersion.

The 12 most intense peaks (15 to 90 degrees two-theta), by intensity:
31.7 deg, rel. 100.0; 21.7 deg, rel. 57.9; 44.8 deg, rel. 41.2; 38.0 deg, rel. 23.7; 64.8 deg, rel. 20.6; 44.2 deg, rel. 18.0; 50.3 deg, rel. 15.2; 52.0 deg, rel. 13.8; 89.9 deg, rel. 11.4; 46.6 deg, rel. 11.4; 61.7 deg, rel. 11.3; 66.2 deg, rel. 10.2

Crystal structure
a b c (Å): 4.730 4.730 15.592
angles (deg): 90.00 90.00 120.00
Fractional positions:
Sr 0.000 0.000 0.000
Sr 0.000 0.000 0.250
Sr 0.000 0.000 0.500
Sr 0.000 0.000 0.750
Be 0.333 0.667 0.101
Be 0.333 0.667 0.399
Be 0.333 0.667 0.601
Be 0.333 0.667 0.899
B 0.667 0.333 0.136
B 0.667 0.333 0.364
B 0.667 0.333 0.636
B 0.667 0.333 0.864
O 0.333 0.667 0.000
O 0.333 0.667 0.500
O 0.393 0.024 0.137
O 0.393 0.024 0.363
O 0.393 0.369 0.637
O 0.393 0.369 0.863
O 0.631 0.024 0.637
O 0.631 0.024 0.863
O 0.631 0.607 0.137
O 0.631 0.607 0.363
O 0.976 0.369 0.137
O 0.976 0.369 0.363
O 0.976 0.607 0.637
O 0.976 0.607 0.863

# 9
Computed X-ray diffraction stick pattern
Compound: Cr7Ni20Mo3
Radiation: λ = 1.5418 Å (Cu Kα)
Structure: a crystal structure in the Materials Project, relaxed with PBE
Neutral-atom scattering factors, no anomalous dispersion.

The 6 most intense peaks (15 to 90 degrees two-theta), by intensity:
43.8 deg, rel. 100.0; 51.4 deg, rel. 30.2; 74.8 deg, rel. 18.1; 50.4 deg, rel. 16.2; 75.5 deg, rel. 4.4; 75.8 deg, rel. 4.3

Crystal structure
a b c (Å): 6.203 6.203 18.953
angles (deg): 90.12 96.30 108.52
Fractional positions:
Cr 0.000 0.000 0.000
Cr 0.043 0.359 0.800
Cr 0.146 0.054 0.399
Cr 0.197 0.404 0.200
Cr 0.247 0.753 0.000
Cr 0.347 0.454 0.600
Cr 0.392 0.807 0.399
Cr 0.446 0.153 0.200
Cr 0.493 0.508 0.000
Cr 0.551 0.848 0.800
Cr 0.696 0.904 0.199
Cr 0.797 0.604 0.800
Cr 0.901 0.300 0.399
Cr 0.948 0.654 0.199
Ni 0.000 0.672 0.332
Ni 0.002 0.338 0.669
Ni 0.046 0.021 0.133
Ni 0.050 0.690 0.465
Ni 0.096 0.038 0.266
Ni 0.101 0.372 0.932
Ni 0.144 0.717 0.734
Ni 0.151 0.389 0.067
Ni 0.195 0.733 0.867
Ni 0.197 0.074 0.530
Ni 0.242 0.418 0.332
Ni 0.248 0.091 0.667
Ni 0.293 0.435 0.467
Ni 0.297 0.770 0.133
Ni 0.343 0.119 0.934
Ni 0.347 0.786 0.266
Ni 0.393 0.135 0.067
Ni 0.399 0.474 0.733
Ni 0.445 0.816 0.530
Ni 0.450 0.491 0.867
Ni 0.495 0.166 0.332
Ni 0.496 0.835 0.669
Ni 0.545 0.182 0.465
Ni 0.547 0.520 0.133
Ni 0.594 0.867 0.932
Ni 0.596 0.537 0.265
Ni 0.645 0.884 0.067
Ni 0.652 0.222 0.734
Ni 0.693 0.569 0.532
Ni 0.701 0.239 0.866
Ni 0.744 0.587 0.669
Ni 0.748 0.924 0.332
Ni 0.797 0.271 0.134
Ni 0.798 0.941 0.465
Ni 0.846 0.288 0.267
Ni 0.848 0.624 0.932
Ni 0.893 0.969 0.734
Ni 0.899 0.641 0.067
Ni 0.943 0.986 0.867
Ni 0.949 0.322 0.530
Mo 0.103 0.698 0.600
Mo 0.297 0.104 0.800
Mo 0.591 0.209 0.599
Mo 0.646 0.554 0.398
Mo 0.748 0.254 0.000
Mo 0.846 0.954 0.599

Number 7 is which compound?
CdCu6O8

Please write out number 7 again, unchanged.
Computed X-ray diffraction stick pattern
Compound: CdCu6O8
Radiation: λ = 1.5418 Å (Cu Kα)
Structure: a crystal structure in the Materials Project, relaxed with PBE
Neutral-atom scattering factors, no anomalous dispersion.

The 12 most intense peaks (15 to 90 degrees two-theta), by intensity:
33.5 deg, rel. 100.0; 16.6 deg, rel. 44.8; 56.2 deg, rel. 43.2; 67.0 deg, rel. 36.5; 38.9 deg, rel. 30.8; 42.5 deg, rel. 17.6; 70.4 deg, rel. 7.7; 59.0 deg, rel. 6.1; 83.5 deg, rel. 5.6; 32.1 deg, rel. 5.5; 19.2 deg, rel. 4.0; 72.9 deg, rel. 3.8

Crystal structure
a b c (Å): 6.549 6.549 6.549
angles (deg): 60.00 60.00 60.00
Fractional positions:
Cd 0.000 0.000 0.000
Cu 0.000 0.000 0.500
Cu 0.000 0.500 0.000
Cu 0.000 0.500 0.500
Cu 0.500 0.000 0.000
Cu 0.500 0.000 0.500
Cu 0.500 0.500 0.000
O 0.145 0.145 0.145
O 0.145 0.145 0.564
O 0.145 0.564 0.145
O 0.436 0.855 0.855
O 0.564 0.145 0.145
O 0.855 0.436 0.855
O 0.855 0.855 0.436
O 0.855 0.855 0.855